Starting from a crystal structure in Alexandria, relaxed with GGA-PBE, the powder diffractogram of TbNd3Hg2 was computed for Cu Kα, 1.54184 Å.
Peak positions follow from Bragg's law for the DFT cell and can differ from measured ones.

Largest 8 diffraction maxima, by intensity, 10 to 80 degrees two-theta:
- 2θ = 31.7°, rel. 100
- 2θ = 32.7°, rel. 92
- 2θ = 33.9°, rel. 60
- 2θ = 31.3°, rel. 31
- 2θ = 30.3°, rel. 24
- 2θ = 28.1°, rel. 24
- 2θ = 41.6°, rel. 21
- 2θ = 46.8°, rel. 20

Crystal structure
Cell: 5.2878 9.5921 7.1131 Å, 90.00 90.00 90.00°
Sites, in units of the cell vectors:
Tb  0.0000  0.0536  0.0000
Tb  0.0000  0.9464  0.5000
Nd  0.0000  0.3240  0.6614
Nd  0.0000  0.6760  0.1614
Nd  0.5000  0.1705  0.3092
Nd  0.5000  0.4463  0.9731
Nd  0.5000  0.5537  0.4731
Nd  0.5000  0.8295  0.8092
Hg  0.0000  0.3476  0.2163
Hg  0.0000  0.6524  0.7163
Hg  0.5000  0.1489  0.7575
Hg  0.5000  0.8511  0.2575